1.
Theoretical powder XRD pattern of CsUCl4O3 for λ = 1.5418 Å (Cu Kα), from a DFT-relaxed cell (GGA-PBE, the Materials Project).
Intensities are scaled so that the largest is 100.

Cell: 6.9349 9.4541 7.7941 Å, 90.00 98.29 90.00°
Space group P2_1/m (No. 11)
One atom of each set of equivalent atoms:
Cs1 0.0347 0.2500 0.2777 x2
U1 0.4148 0.2500 0.8755 x2
Cl1 0.2662 0.5589 0.0554 x4
Cl2 0.3019 0.0465 0.6263 x4
O1 0.1488 0.2500 0.8879 x2
O2 0.4076 0.7500 0.2957 x2
O3 0.4453 0.2500 0.1158 x2

Principal peaks in the range 2θ from 10° to 90°, by angle:
2theta, Rel. int.
11.5, 59
16.0, 84
18.6, 61
18.8, 52
20.8, 100
24.8, 30
24.9, 42
31.3, 50
32.2, 39
34.0, 59

***

2.
Theoretical powder XRD pattern of CsTa6PbCl18 for λ = 1.5418 Å (Cu Kα), from a DFT-relaxed cell (GGA-PBE, the Materials Project).
Intensities are scaled so that the largest is 100.

Cell: 9.4399 9.4399 17.5880 Å, 90.00 90.00 120.00°
Space group P-31c (No. 163)
One atom of each set of equivalent atoms:
Cs1 0.3333 0.6667 0.2500 x2
Ta1 0.0265 0.1916 0.9319 x12
Pb1 0.3333 0.6667 0.7500 x2
Cl1 0.0303 0.2239 0.1595 x12
Cl2 0.0540 0.4300 0.8449 x12
Cl3 0.1621 0.4166 0.4999 x12

Principal peaks in the range 2θ from 10° to 90°, by angle:
2theta, Rel. int.
10.1, 23
10.8, 95
14.8, 100
21.4, 25
27.7, 18
28.9, 23
34.5, 19
35.5, 53
42.5, 41
43.5, 26

***

3.
Theoretical powder XRD pattern of CsPd2Cl5 for λ = 1.5418 Å (Cu Kα), from a DFT-relaxed cell (GGA-PBE, the Materials Project).
Intensities are scaled so that the largest is 100.

Cell: 16.3233 10.9510 5.5622 Å, 90.00 90.00 90.00°
Space group Pnma (No. 62)
One atom of each set of equivalent atoms:
Cs1 0.2354 0.2500 0.1052 x4
Pd1 0.0497 0.5846 0.2821 x8
Cl1 0.0153 0.7500 0.0432 x4
Cl2 0.0800 0.0815 0.5315 x8
Cl3 0.1786 0.5731 0.1161 x8

Principal peaks in the range 2θ from 10° to 90°, by angle:
2theta, Rel. int.
10.8, 27
19.3, 63
19.5, 60
21.0, 100
24.3, 38
29.3, 94
29.8, 43
31.8, 29
36.8, 42
46.7, 32

***

4.
Theoretical powder XRD pattern of Cs2PdCl4 for λ = 1.5418 Å (Cu Kα), from a DFT-relaxed cell (GGA-PBE, the Materials Project).
Intensities are scaled so that the largest is 100.

Cell: 10.8008 10.7957 9.4839 Å, 90.00 90.00 90.00°
Space group Cmcm (No. 63)
One atom of each set of equivalent atoms:
Cs1 0.2454 0.2486 0.2500 x8
Pd1 0.0000 0.5000 0.0000 x4
Cl1 0.0000 0.2837 0.5063 x8
Cl2 0.2163 0.5000 0.0000 x8

Principal peaks in the range 2θ from 10° to 90°, by angle:
2theta, Rel. int.
11.6, 42
16.4, 20
22.1, 19
23.3, 22
25.0, 100
30.1, 36
33.2, 40
37.9, 15
42.0, 43
51.3, 22

***

5.
Theoretical powder XRD pattern of CsPdCl3 for λ = 1.5418 Å (Cu Kα), from a DFT-relaxed cell (GGA-PBE, the Materials Project).
Intensities are scaled so that the largest is 100.

Cell: 10.6723 14.0146 9.2195 Å, 90.00 90.00 90.00°
Space group Ibam (No. 72)
One atom of each set of equivalent atoms:
Cs1 0.0000 0.1755 0.2500 x8
Pd1 0.1463 0.4484 0.0000 x8
Cl1 0.0627 0.3962 0.5000 x8
Cl2 0.1507 0.0040 0.0000 x8
Cl3 0.2177 0.2929 0.0000 x8

Principal peaks in the range 2θ from 10° to 90°, by angle:
2theta, Rel. int.
20.8, 53
21.9, 100
23.1, 85
25.5, 66
28.5, 59
36.0, 33
37.3, 33
39.0, 39
39.1, 39
51.1, 32

***

6.
Theoretical powder XRD pattern of Cs2PdCl4 for λ = 1.5418 Å (Cu Kα), from a DFT-relaxed cell (GGA-PBE, the Materials Project).
Intensities are scaled so that the largest is 100.

Cell: 7.5832 7.5832 4.7665 Å, 90.00 90.00 90.00°
Space group P4/mmm (No. 123)
One atom of each set of equivalent atoms:
Cs1 0.0000 0.5000 0.0000 x2
Pd1 0.0000 0.0000 0.5000 x1
Cl1 0.2181 0.2181 0.5000 x4

Principal peaks in the range 2θ from 10° to 90°, by angle:
2theta, Rel. int.
11.7, 41
16.5, 20
22.0, 19
23.5, 22
25.0, 100
30.1, 36
33.4, 40
37.7, 15
42.2, 43
51.3, 22

***

> Which formula does entry 2 have?

CsTa6PbCl18